(1)
The following is a simulated PXRD pattern of LaPrF. It was derived from DFT lattice parameters and positions (PBE), using copper Kα.
Neutral-atom scattering factors, no anomalous dispersion.

Crystal structure
Lattice parameters (Å, degrees): 3.9632 3.9632 5.8640 90.00 90.00 120.00
Space group P3m1 (No. 156)
Unique sites:
1 La 0.0000 0.0000 0.0000 (multiplicity 1)
2 Pr 0.6667 0.3333 0.5182 (multiplicity 1)
3 F 0.3333 0.6667 0.7647 (multiplicity 1)

The 8 most intense peaks (2θ from 5° to 70°), low angle first:
| 2θ (°) | intensity |
| --- | --- |
| 25.96 | 18 |
| 30.17 | 100 |
| 30.49 | 18 |
| 40.46 | 20 |
| 45.79 | 24 |
| 53.98 | 19 |
| 55.82 | 18 |
| 56.01 | 20 |

(2)
The following is a simulated PXRD pattern of La3S3F2. It was derived from DFT lattice parameters and positions (PBE), using copper Kα.
Neutral-atom scattering factors, no anomalous dispersion.

Crystal structure
Lattice parameters (Å, degrees): 3.8624 12.9635 13.8541 90.00 90.00 90.00
Space group Cmcm (No. 63)
Unique sites:
1 La 0.0000 0.1217 0.0559 (multiplicity 8)
2 La 0.0000 0.1479 0.7500 (multiplicity 4)
3 S 0.0000 0.1871 0.2500 (multiplicity 4)
4 S 0.0000 0.4504 0.1095 (multiplicity 8)
5 F 0.0000 0.2531 0.5737 (multiplicity 8)

The 8 most intense peaks (2θ from 5° to 70°), low angle first:
| 2θ (°) | intensity |
| --- | --- |
| 23.66 | 79 |
| 24.04 | 40 |
| 27.52 | 30 |
| 31.02 | 100 |
| 35.50 | 20 |
| 36.78 | 55 |
| 46.39 | 28 |
| 47.06 | 19 |

(3)
The following is a simulated PXRD pattern of La2Sb2F. It was derived from DFT lattice parameters and positions (PBE), using copper Kα.
Neutral-atom scattering factors, no anomalous dispersion.

Crystal structure
Lattice parameters (Å, degrees): 4.6066 16.0833 7.9166 90.00 90.00 90.00
Space group Cmc2_1 (No. 36)
Unique sites:
1 La 0.0000 0.0470 0.0000 (multiplicity 4)
2 La 0.0000 0.3379 0.8641 (multiplicity 4)
3 Sb 0.0000 0.3036 0.4592 (multiplicity 4)
4 Sb 0.0000 0.4505 0.2082 (multiplicity 4)
5 F 0.0000 0.0983 0.3228 (multiplicity 4)

The 8 most intense peaks (2θ from 5° to 70°), low angle first:
| 2θ (°) | intensity |
| --- | --- |
| 24.84 | 30 |
| 25.49 | 68 |
| 27.91 | 79 |
| 30.28 | 55 |
| 34.23 | 100 |
| 35.35 | 38 |
| 35.85 | 92 |
| 39.11 | 51 |